[1]
# Sr2Li9Sn6
Calculated powder diffractogram, Cu Kα. Input: a crystal structure in Alexandria, relaxed with GGA-PBE.
No peak broadening, texture or thermal motion is included.

Main lines, in order of rising 2θ (5° ≤ 2θ ≤ 70°):
(hkl), 2θ (°), I_rel
1 0 0, 17.09, 14
0 0 3, 18.87, 69
1 1 0, 29.83, 74
1 1 3, 35.54, 100
0 0 6, 38.29, 14
1 1 6, 49.28, 37
3 0 0, 52.95, 15
3 0 3, 56.72, 27
2 2 0, 61.97, 11
2 2 3, 65.41, 15
3 0 6, 67.21, 15
1 1 9, 67.45, 16

Structural model:
Cell: 5.9900 5.9900 14.1049 Å, 90.00 90.00 120.00°
Space group P6/mmm (No. 191)
Unique sites:
Sr 0.0000 0.0000 0.1658 x2
Li 0.0000 0.5000 0.0000 x3
Li 0.0000 0.5000 0.3370 x6
Sn 0.3333 0.6667 0.1687 x4
Sn 0.3333 0.6667 0.5000 x2

[2]
# Sr3Li6Sn5
Calculated powder diffractogram, Cu Kα. Input: a crystal structure in Alexandria, relaxed with GGA-PBE.
No peak broadening, texture or thermal motion is included.

Main lines, in order of rising 2θ (5° ≤ 2θ ≤ 70°):
(hkl), 2θ (°), I_rel
1 0 3, 25.91, 100
1 2 1, 26.38, 15
0 2 4, 30.69, 16
1 1 4, 32.07, 15
1 3 0, 32.84, 31
0 3 3, 33.03, 25
1 3 2, 35.17, 18
2 0 0, 36.61, 27
0 0 6, 37.32, 15
1 4 1, 41.51, 26
2 3 3, 50.13, 16
1 4 7, 61.60, 18

Structural model:
Cell: 4.909 9.841 14.456 Å, 90.00 90.00 90.00°
Space group Immm (No. 71)
Unique sites:
Sr 0.000 0.000 0.000 x2
Sr 0.000 0.000 0.295 x4
Li 0.000 0.174 0.500 x4
Li 0.000 0.289 0.140 x8
Sn 0.000 0.355 0.347 x8
Sn 0.000 0.500 0.000 x2

[3]
# Li4TbSn4
Calculated powder diffractogram, Cu Kα. Input: a crystal structure in Alexandria, relaxed with GGA-PBE.
No peak broadening, texture or thermal motion is included.

Main lines, in order of rising 2θ (5° ≤ 2θ ≤ 70°):
(hkl), 2θ (°), I_rel
1 0 1, 16.50, 22
0 0 2, 18.93, 25
1 1 2, 27.05, 31
2 0 1, 28.86, 100
1 0 3, 31.72, 29
2 1 1, 31.99, 37
2 0 3, 39.85, 34
2 2 2, 43.57, 52
3 0 3, 51.00, 14
4 0 0, 56.13, 14
2 1 5, 58.42, 20
4 2 1, 64.33, 17

Structural model:
Cell: 6.555 6.555 9.377 Å, 90.00 90.00 90.00°
Space group P4_2/nmc (No. 137, origin choice 2)
Unique sites:
Li 0.021 0.250 0.172 x8
Tb 0.250 0.750 0.250 x2
Sn 0.027 0.250 0.467 x8

[4]
# LiTb2Sn
Calculated powder diffractogram, Cu Kα. Input: a crystal structure in Alexandria, relaxed with GGA-PBE.
No peak broadening, texture or thermal motion is included.

Main lines, in order of rising 2θ (5° ≤ 2θ ≤ 70°):
(hkl), 2θ (°), I_rel
1 0 0, 18.03, 15
0 0 1, 20.82, 15
1 1 0, 25.61, 18
1 0 1, 27.68, 11
1 1 1, 33.24, 100
2 0 0, 36.54, 39
0 0 2, 42.40, 22
2 1 1, 46.43, 8
2 2 0, 52.63, 14
2 0 2, 57.17, 25
3 1 1, 63.68, 31
2 2 2, 69.77, 12

Structural model:
Cell: 4.919 4.919 4.266 Å, 90.00 90.00 90.00°
Space group P4/mmm (No. 123)
Unique sites:
Li 0.000 0.000 0.000 x1
Tb 0.000 0.500 0.500 x2
Sn 0.500 0.500 0.000 x1

[5]
# Li2Tb2Sn7
Calculated powder diffractogram, Cu Kα. Input: a crystal structure in Alexandria, relaxed with GGA-PBE.
No peak broadening, texture or thermal motion is included.

Main lines, in order of rising 2θ (5° ≤ 2θ ≤ 70°):
(hkl), 2θ (°), I_rel
1 1 0, 14.90, 57
2 0 0, 16.85, 43
0 2 1, 27.24, 86
3 1 -1, 29.78, 40
2 2 0, 30.07, 69
3 1 1, 31.28, 78
2 2 -1, 31.72, 46
0 2 2, 33.75, 53
4 0 0, 34.07, 46
0 0 3, 34.21, 100
3 1 -2, 35.23, 78
2 2 2, 38.77, 57

Structural model:
Cell: 10.556 7.203 7.886 Å, 90.00 94.42 90.00°
Space group C2/m (No. 12)
Unique sites:
Li 0.000 0.176 0.000 x4
Tb 0.189 0.500 0.504 x4
Sn 0.000 0.000 0.500 x2
Sn 0.007 0.500 0.808 x4
Sn 0.220 0.218 0.814 x8

[6]
# Li3Tb4ZnSn8
Calculated powder diffractogram, Cu Kα. Input: a crystal structure in Alexandria, relaxed with GGA-PBE.
No peak broadening, texture or thermal motion is included.

Main lines, in order of rising 2θ (5° ≤ 2θ ≤ 70°):
(hkl), 2θ (°), I_rel
0 0 6, 28.43, 10
1 1 3, 31.48, 100
0 1 6, 34.32, 12
0 2 0, 38.18, 20
2 0 0, 41.75, 14
0 1 8, 42.93, 12
1 0 9, 48.29, 9
1 2 5, 50.29, 9
2 2 0, 57.87, 15
2 1 8, 61.45, 15
1 3 3, 64.84, 11
0 0 14, 69.84, 13

Structural model:
Cell: 4.327 4.715 18.837 Å, 90.00 90.00 90.00°
Space group Pmm2 (No. 25)
Unique sites:
Li 0.000 0.000 0.000 x1
Li 0.000 0.500 0.349 x1
Li 0.500 0.500 0.851 x1
Tb 0.000 0.000 0.785 x1
Tb 0.000 0.500 0.570 x1
Tb 0.500 0.000 0.272 x1
Tb 0.500 0.500 0.069 x1
Zn 0.500 0.000 0.507 x1
Sn 0.000 0.000 0.132 x1
Sn 0.000 0.000 0.419 x1
Sn 0.000 0.500 0.216 x1
Sn 0.000 0.500 0.931 x1
Sn 0.500 0.000 0.640 x1
Sn 0.500 0.000 0.921 x1
Sn 0.500 0.500 0.430 x1
Sn 0.500 0.500 0.720 x1